1.
The following is a computed XRD peak list of LiCrSe3. It was derived from DFT lattice parameters and positions (PBE), using Cu Kα.

Atomic structure:
```
10
Lattice="6.176 0.000 0.000 2.018 6.477 0.000 2.900 2.594 5.934" Properties=species:S:1:pos:R:3 pbc="T T T"
Li 0.000 0.000 0.000
Li 4.140 3.803 1.995
Cr 5.844 7.421 3.682
Cr 6.333 1.527 2.561
Se 2.180 2.734 3.436
Se 4.011 6.430 2.405
Se 5.613 6.458 5.654
Se 5.259 2.764 4.198
Se 7.111 6.010 2.370
Se 6.195 2.595 0.633
```

Principal peaks in the range 10 to 90 degrees two-theta, by angle:
index	two_theta	I (rel.)
0 0 1	14.93	94
0 1 1	16.36	42
1 0 1	18.00	45
0 1 -1	25.12	100
0 1 2	27.71	88
2 1 0	33.62	34
2 2 2	35.43	62
-2 1 1	42.01	53

---

2.
The following is a computed XRD peak list of LiCrSi2. It was derived from DFT lattice parameters and positions (PBE), using Cu Kα.

Atomic structure:
```
8
Lattice="3.634 0.000 0.000 0.000 3.634 0.000 0.000 0.000 7.235" Properties=species:S:1:pos:R:3 pbc="T T T"
Li 0.000 0.000 0.000
Li 1.817 1.817 3.618
Cr 0.000 0.000 3.618
Cr 1.817 1.817 0.000
Si 0.000 1.817 1.809
Si 0.000 1.817 5.427
Si 1.817 0.000 1.809
Si 1.817 0.000 5.427
```

Principal peaks in the range 10 to 90 degrees two-theta, by angle:
index	two_theta	I (rel.)
1 0 1	27.46	65
1 1 2	43.18	100
1 0 3	45.12	15
2 0 0	50.21	31
0 0 4	50.45	15
2 1 1	58.18	13
2 0 4	73.93	19
3 1 2	89.47	23

---

3.
The following is a computed XRD peak list of SrLi2Cr. It was derived from DFT lattice parameters and positions (PBE), using Cu Kα.

Atomic structure:
```
8
Lattice="4.847 0.000 0.000 0.000 4.847 0.000 0.000 0.000 9.112" Properties=species:S:1:pos:R:3 pbc="T T T"
Sr 0.000 0.000 0.000
Sr 2.423 2.423 4.556
Li 0.000 0.000 4.556
Li 0.000 2.423 2.278
Li 2.423 0.000 6.834
Li 2.423 2.423 0.000
Cr 0.000 2.423 6.834
Cr 2.423 0.000 2.278
```

Principal peaks in the range 10 to 90 degrees two-theta, by angle:
index	two_theta	I (rel.)
1 0 1	20.76	100
1 1 2	32.70	79
1 0 3	34.86	27
2 0 0	37.10	28
2 1 1	42.89	29
2 1 3	51.82	16
2 0 4	55.35	17
3 1 2	64.10	21

---

4.
The following is a computed XRD peak list of LiTaCr. It was derived from DFT lattice parameters and positions (PBE), using Cu Kα.

Atomic structure:
```
12
Lattice="3.126 0.000 0.000 0.000 4.410 0.000 0.000 0.000 13.702" Properties=species:S:1:pos:R:3 pbc="T T T"
Li 0.000 0.000 0.000
Li 0.000 2.205 6.851
Li 1.563 0.000 6.851
Li 1.563 2.205 0.000
Ta 0.000 0.000 9.436
Ta 0.000 2.205 2.585
Ta 1.563 0.000 2.585
Ta 1.563 2.205 9.436
Cr 0.000 0.000 4.610
Cr 0.000 2.205 11.461
Cr 1.563 0.000 11.461
Cr 1.563 2.205 4.610
```

Principal peaks in the range 10 to 90 degrees two-theta, by angle:
index	two_theta	I (rel.)
0 0 2	12.92	100
0 0 4	26.01	13
1 1 1	35.81	28
0 0 6	39.46	12
1 1 3	40.51	50
0 2 0	40.93	12
0 2 2	43.10	11
1 1 5	48.78	18